# 1
Starting from a crystal structure in Alexandria, relaxed with PBE, the powder diffraction line list of LiB2C2 was computed for λ = 1.5418 Å (Cu Kα).
No peak broadening, texture or thermal motion is included.

Atomic structure:
```
LiB2C2
1.0
2.718 0.000 0.000
0.000 7.181 0.000
0.000 0.000 9.373
Li B C
4 8 8
direct
0.250 0.001 0.139
0.250 0.499 0.139
0.750 0.501 0.861
0.750 0.999 0.861
0.250 0.250 0.296
0.250 0.250 0.789
0.250 0.750 0.455
0.250 0.750 0.957
0.750 0.250 0.043
0.750 0.250 0.545
0.750 0.750 0.211
0.750 0.750 0.704
0.250 0.250 0.463
0.250 0.250 0.960
0.250 0.750 0.289
0.250 0.750 0.788
0.750 0.250 0.212
0.750 0.250 0.711
0.750 0.750 0.040
0.750 0.750 0.537
```

Peak list (10 most intense, 2θ from 10° to 90°, in order of rising 2θ)
2θ/deg	I/Imax
24.8	100
38.3	8
38.4	4
46.2	23
46.3	12
50.9	13
69.1	4
69.4	8
74.7	3
74.9	7


# 2
Starting from a crystal structure in Alexandria, relaxed with PBE, the powder diffraction line list of LiB4C4 was computed for λ = 1.5418 Å (Cu Kα).
No peak broadening, texture or thermal motion is included.

Atomic structure:
```
LiB4C4
1.0
7.020 0.000 0.000
0.000 2.723 0.000
-1.027 0.000 8.874
Li B C
2 8 8
direct
0.012 0.250 0.160
0.988 0.750 0.840
0.226 0.250 0.979
0.290 0.750 0.732
0.344 0.750 0.223
0.389 0.250 0.484
0.611 0.750 0.516
0.656 0.250 0.777
0.710 0.250 0.268
0.774 0.750 0.021
0.230 0.750 0.066
0.244 0.250 0.806
0.387 0.750 0.580
0.397 0.250 0.307
0.603 0.750 0.693
0.613 0.250 0.420
0.756 0.750 0.194
0.770 0.250 0.934
```

Peak list (10 most intense, 2θ from 10° to 90°, in order of rising 2θ)
2θ/deg	I/Imax
12.7	100
15.2	35
17.1	63
25.5	25
26.4	25
38.8	21
41.3	7
41.7	6
46.8	6
69.0	6


# 3
Starting from a crystal structure in Alexandria, relaxed with PBE, the powder diffraction line list of LiB2C2 was computed for λ = 1.5418 Å (Cu Kα).
No peak broadening, texture or thermal motion is included.

Atomic structure:
```
LiB2C2
1.0
7.834 -1.344 0.000
7.834 1.344 0.000
-2.937 0.000 8.938
Li B C
4 8 8
direct
0.000 0.000 0.000
0.248 0.248 0.076
0.505 0.505 0.713
0.757 0.757 0.370
0.130 0.130 0.712
0.133 0.133 0.215
0.372 0.372 0.988
0.381 0.381 0.492
0.620 0.620 0.956
0.637 0.637 0.467
0.868 0.868 0.236
0.885 0.885 0.746
0.118 0.118 0.870
0.140 0.140 0.383
0.366 0.366 0.321
0.388 0.388 0.833
0.628 0.628 0.125
0.632 0.632 0.629
0.867 0.867 0.071
0.886 0.886 0.581
```

Peak list (10 most intense, 2θ from 10° to 90°, in order of rising 2θ)
2θ/deg	I/Imax
12.9	9
17.7	6
23.9	100
38.6	7
45.4	5
45.8	12
45.9	5
46.0	11
49.0	12
69.4	7


# 4
Starting from a crystal structure in Alexandria, relaxed with PBE, the powder diffraction line list of LiB2C2 was computed for λ = 1.5418 Å (Cu Kα).
No peak broadening, texture or thermal motion is included.

Atomic structure:
```
LiB2C2
1.0
7.377 0.000 0.000
0.000 5.385 0.000
0.000 0.000 4.697
Li B C
4 8 8
direct
0.000 0.151 0.250
0.000 0.849 0.750
0.500 0.349 0.750
0.500 0.651 0.250
0.248 0.124 0.582
0.248 0.876 0.082
0.252 0.376 0.082
0.252 0.624 0.582
0.748 0.376 0.418
0.748 0.624 0.918
0.752 0.124 0.918
0.752 0.876 0.418
0.244 0.125 0.916
0.244 0.875 0.416
0.256 0.375 0.416
0.256 0.625 0.916
0.744 0.375 0.084
0.744 0.625 0.584
0.756 0.125 0.584
0.756 0.875 0.084
```

Peak list (10 most intense, 2θ from 10° to 90°, in order of rising 2θ)
2θ/deg	I/Imax
20.4	4
24.1	100
38.5	7
45.8	12
46.0	22
49.4	13
69.4	8
69.9	4
74.7	6
89.9	8


# 5
Starting from a crystal structure in Alexandria, relaxed with PBE, the powder diffraction line list of Li5B8C8 was computed for λ = 1.5418 Å (Cu Kα).
No peak broadening, texture or thermal motion is included.

Atomic structure:
```
Li5B8C8
1.0
7.701 -1.351 0.000
7.701 1.351 0.000
-2.881 0.000 8.961
Li B C
5 8 8
direct
0.000 0.000 0.000
0.247 0.247 0.657
0.254 0.254 0.117
0.501 0.501 0.288
0.749 0.749 0.389
0.124 0.124 0.904
0.130 0.130 0.413
0.371 0.371 0.371
0.374 0.374 0.873
0.618 0.618 0.654
0.627 0.627 0.160
0.870 0.870 0.621
0.883 0.883 0.125
0.119 0.119 0.740
0.129 0.129 0.245
0.364 0.364 0.532
0.386 0.386 0.043
0.626 0.626 0.993
0.629 0.629 0.496
0.870 0.870 0.786
0.874 0.874 0.287
```

Peak list (10 most intense, 2θ from 10° to 90°, in order of rising 2θ)
2θ/deg	I/Imax
24.3	100
38.4	6
45.8	13
46.0	28
49.7	15
69.3	9
69.6	5
74.6	4
74.6	3
90.0	4


# 6
Starting from a crystal structure in Alexandria, relaxed with PBE, the powder diffraction line list of LiB4C4 was computed for λ = 1.5418 Å (Cu Kα).
No peak broadening, texture or thermal motion is included.

Atomic structure:
```
LiB4C4
1.0
2.726 0.000 0.000
-1.363 2.361 0.000
0.000 0.000 23.009
Li B C
2 8 8
direct
0.000 0.000 0.079
0.000 0.000 0.921
0.333 0.667 0.157
0.333 0.667 0.384
0.333 0.667 0.616
0.333 0.667 0.843
0.667 0.333 0.000
0.667 0.333 0.297
0.667 0.333 0.500
0.667 0.333 0.703
0.333 0.667 0.000
0.333 0.667 0.296
0.333 0.667 0.500
0.333 0.667 0.704
0.667 0.333 0.154
0.667 0.333 0.387
0.667 0.333 0.613
0.667 0.333 0.846
```

Peak list (10 most intense, 2θ from 10° to 90°, in order of rising 2θ)
2θ/deg	I/Imax
11.5	40
15.4	24
23.2	100
27.1	42
35.1	64
38.1	77
39.2	23
45.1	37
47.4	24
68.9	54


# 7
Starting from a crystal structure in Alexandria, relaxed with PBE, the powder diffraction line list of LiB4C4 was computed for λ = 1.5418 Å (Cu Kα).
No peak broadening, texture or thermal motion is included.

Atomic structure:
```
LiB4C4
1.0
2.731 0.000 0.000
0.000 8.936 0.000
0.000 0.000 7.369
Li B C
2 8 8
direct
0.000 0.125 0.000
0.500 0.875 0.500
0.000 0.308 0.234
0.000 0.445 0.797
0.000 0.802 0.223
0.000 0.944 0.769
0.500 0.056 0.269
0.500 0.198 0.723
0.500 0.555 0.297
0.500 0.692 0.734
0.000 0.278 0.730
0.000 0.478 0.297
0.000 0.771 0.726
0.000 0.974 0.270
0.500 0.026 0.770
0.500 0.229 0.226
0.500 0.522 0.797
0.500 0.722 0.230
```

Peak list (10 most intense, 2θ from 10° to 90°, in order of rising 2θ)
2θ/deg	I/Imax
24.2	100
31.5	10
38.6	7
40.4	5
46.1	13
47.6	8
49.5	7
53.8	4
72.3	4
77.5	4


# 8
Starting from a crystal structure in Alexandria, relaxed with PBE, the powder diffraction line list of Li5B8C8 was computed for λ = 1.5418 Å (Cu Kα).
No peak broadening, texture or thermal motion is included.

Atomic structure:
```
Li5B8C8
1.0
8.625 0.000 0.000
0.000 2.720 0.000
-3.689 0.000 7.952
Li B C
5 8 8
direct
0.000 0.000 0.000
0.047 0.500 0.544
0.296 0.500 0.281
0.500 0.500 0.993
0.775 0.000 0.266
0.069 0.000 0.307
0.220 0.500 0.975
0.324 0.500 0.560
0.485 0.000 0.217
0.575 0.000 0.804
0.739 0.500 0.464
0.806 0.500 0.064
0.970 0.000 0.725
0.049 0.500 0.814
0.236 0.000 0.475
0.308 0.000 0.060
0.493 0.500 0.721
0.573 0.500 0.295
0.723 0.000 0.984
0.825 0.000 0.544
0.982 0.500 0.224
```

Peak list (10 most intense, 2θ from 10° to 90°, in order of rising 2θ)
2θ/deg	I/Imax
11.1	7
24.3	100
38.3	6
45.6	21
46.1	14
46.4	6
49.8	14
69.1	5
69.5	9
74.4	7


# 9
Starting from a crystal structure in Alexandria, relaxed with PBE, the powder diffraction line list of LiB2C2 was computed for λ = 1.5418 Å (Cu Kα).
No peak broadening, texture or thermal motion is included.

Atomic structure:
```
LiB2C2
1.0
7.475 -2.365 0.000
7.475 2.365 0.000
-0.993 0.000 5.252
Li B C
4 8 8
direct
0.124 0.124 0.035
0.377 0.373 0.666
0.627 0.623 0.334
0.876 0.876 0.965
0.085 0.412 0.374
0.088 0.415 0.876
0.163 0.832 0.746
0.168 0.837 0.254
0.585 0.912 0.124
0.588 0.915 0.626
0.664 0.336 0.000
0.669 0.331 0.500
0.335 0.665 0.000
0.341 0.659 0.500
0.411 0.082 0.374
0.417 0.090 0.877
0.834 0.158 0.749
0.842 0.166 0.251
0.910 0.583 0.123
0.918 0.589 0.626
```

Peak list (10 most intense, 2θ from 10° to 90°, in order of rising 2θ)
2θ/deg	I/Imax
24.2	100
38.7	7
45.6	11
46.0	12
46.3	11
49.6	13
69.2	8
70.5	4
74.4	3
89.6	4


# 10
Starting from a crystal structure in Alexandria, relaxed with PBE, the powder diffraction line list of LiB4C4 was computed for λ = 1.5418 Å (Cu Kα).
No peak broadening, texture or thermal motion is included.

Atomic structure:
```
LiB4C4
1.0
6.892 0.000 0.000
0.000 2.754 0.000
-1.336 0.000 7.644
Li B C
2 8 8
direct
0.164 0.250 0.119
0.836 0.750 0.881
0.138 0.250 0.404
0.149 0.250 0.801
0.345 0.750 0.671
0.419 0.750 0.060
0.581 0.250 0.940
0.655 0.250 0.329
0.851 0.750 0.199
0.862 0.750 0.596
0.063 0.750 0.318
0.246 0.750 0.890
0.273 0.250 0.588
0.493 0.750 0.856
0.507 0.250 0.144
0.727 0.750 0.412
0.754 0.250 0.110
0.937 0.250 0.682
```

Peak list (10 most intense, 2θ from 10° to 90°, in order of rising 2θ)
2θ/deg	I/Imax
15.9	100
26.8	12
32.1	18
37.9	19
40.4	6
42.3	7
43.6	7
49.0	11
68.1	6
73.4	6


# 11
Starting from a crystal structure in Alexandria, relaxed with PBE, the powder diffraction line list of LiB2C2 was computed for λ = 1.5418 Å (Cu Kα).
No peak broadening, texture or thermal motion is included.

Atomic structure:
```
LiB2C2
1.0
4.693 0.000 0.000
0.000 5.414 0.000
-0.017 0.000 7.327
Li B C
4 8 8
direct
0.000 0.000 0.000
0.000 0.013 0.500
0.000 0.514 0.000
0.500 0.254 0.000
0.169 0.258 0.243
0.171 0.756 0.246
0.332 0.508 0.753
0.334 0.006 0.756
0.666 0.006 0.244
0.668 0.508 0.247
0.829 0.756 0.754
0.831 0.258 0.757
0.164 0.758 0.755
0.168 0.256 0.762
0.331 0.008 0.242
0.334 0.507 0.240
0.666 0.507 0.760
0.669 0.008 0.758
0.832 0.256 0.238
0.836 0.758 0.245
```

Peak list (10 most intense, 2θ from 10° to 90°, in order of rising 2θ)
2θ/deg	I/Imax
12.1	10
24.3	100
38.4	10
45.9	18
46.0	17
49.8	13
69.4	12
74.7	3
74.8	6
87.3	4